Calculated X-ray powder pattern of Na6Nb3InSi6O24 for λ = 1.5418 Å (Cu Kα), from a structure optimized by DFT (GGA-PBE).
Peak positions follow from Bragg's law for the DFT cell and can differ from measured ones.

Crystal structure
a b c (Å): 9.121 9.125 9.131
angles (deg): 119.64 90.39 119.78
Space group P1 (No. 1)
One atom of each set of equivalent atoms:
Na (0.000, 0.000, 0.000) [1 per cell]
Na (0.106, 0.518, 0.272) [1 per cell]
Na (0.214, 0.010, 0.524) [1 per cell]
Na (0.345, 0.641, 0.965) [1 per cell]
Na (0.600, 0.510, 0.762) [1 per cell]
Na (0.867, 0.402, 0.548) [1 per cell]
Nb (0.459, 0.227, 0.325) [1 per cell]
Nb (0.745, 0.800, 0.200) [1 per cell]
Nb (0.951, 0.222, 0.831) [1 per cell]
In (0.253, 0.804, 0.696) [1 per cell]
Si (0.058, 0.718, 0.013) [1 per cell]
Si (0.144, 0.300, 0.510) [1 per cell]
Si (0.352, 0.303, 0.001) [1 per cell]
Si (0.557, 0.010, 0.506) [1 per cell]
Si (0.646, 0.016, 0.015) [1 per cell]
Si (0.843, 0.720, 0.518) [1 per cell]
O (0.009, 0.697, 0.506) [1 per cell]
O (0.050, 0.527, 0.000) [1 per cell]
O (0.072, 0.713, 0.834) [1 per cell]
O (0.106, 0.302, 0.690) [1 per cell]
O (0.145, 0.475, 0.507) [1 per cell]
O (0.174, 0.312, 0.006) [1 per cell]
O (0.238, 0.936, 0.188) [1 per cell]
O (0.311, 0.105, 0.816) [1 per cell]
O (0.325, 0.301, 0.501) [1 per cell]
O (0.368, 0.849, 0.502) [1 per cell]
O (0.392, 0.289, 0.172) [1 per cell]
O (0.465, 0.852, 0.845) [1 per cell]
O (0.513, 0.514, 0.024) [1 per cell]
O (0.552, 0.189, 0.506) [1 per cell]
O (0.606, 0.893, 0.330) [1 per cell]
O (0.608, 0.153, 0.195) [1 per cell]
O (0.671, 0.523, 0.506) [1 per cell]
O (0.691, 0.870, 0.033) [1 per cell]
O (0.739, 0.141, 0.679) [1 per cell]
O (0.789, 0.724, 0.348) [1 per cell]
O (0.828, 0.179, 0.001) [1 per cell]
O (0.874, 0.705, 0.035) [1 per cell]
O (0.895, 0.939, 0.700) [1 per cell]
O (0.974, 0.074, 0.337) [1 per cell]

Largest 10 diffraction maxima, low angle first, 2θ from 10° to 90°:
| d/Å | Position (°2θ) | I (rel.) |
| --- | --- | --- |
| 6.481 | 13.7 | 22 |
| 4.581 | 19.4 | 100 |
| 4.562 | 19.5 | 92 |
| 3.904 | 22.8 | 23 |
| 3.240 | 27.5 | 30 |
| 3.216 | 27.7 | 19 |
| 2.900 | 30.8 | 51 |
| 2.882 | 31.0 | 32 |
| 2.639 | 34.0 | 47 |
| 2.631 | 34.1 | 26 |